Simulated powder diffractogram
Compound: KFeC2O6
Radiation: a wavelength of 1.5418 Å
Structure: a crystal structure in Alexandria, relaxed with PBE+U
No peak broadening, texture or thermal motion is included.

Structural model:
```
data_KFeC2O6
_chemical_formula_sum 'K3 Fe3 C6 O18'
_cell_length_a 4.9049
_cell_length_b 4.9049
_cell_length_c 18.2852
_cell_angle_alpha 90.00
_cell_angle_beta 90.00
_cell_angle_gamma 120.00
_symmetry_space_group_name_H-M 'R -3'
_symmetry_Int_Tables_number 148
_symmetry_space_group_name_Hall '-R 3'
loop_
_atom_site_label
_atom_site_fract_x
_atom_site_fract_y
_atom_site_fract_z
K1 0.0000 0.0000 0.0000
Fe1 0.0000 0.0000 0.5000
C1 0.0000 0.0000 0.2290
O1 0.0452 0.6098 0.8976
```

Most intense lines, 10° ≤ 2θ ≤ 90°, low angle first:
14.5 deg, rel. 33, (0 0 3)
23.1 deg, rel. 21, (0 1 2)
28.7 deg, rel. 100, (1 0 4)
36.6 deg, rel. 16, (1 1 0)
39.6 deg, rel. 12, (1 1 3)
43.8 deg, rel. 14, (2 0 2)
45.0 deg, rel. 15, (0 1 8)
47.6 deg, rel. 27, (1 1 6)
58.4 deg, rel. 12, (1 2 2)
59.4 deg, rel. 7, (2 0 8)
61.2 deg, rel. 10, (3 -1 4)
85.0 deg, rel. 7, (4 -3 4)